(1)
This entry pairs a crystal structure of K2H6Br with its computed X-ray diffraction stick pattern. Radiation: Cu Ka. Structure: a DFT-relaxed cell (PBE, Alexandria).

Cell and atoms:
a b c (Å): 7.0540 6.7232 7.2939
angles (deg): 90.00 93.74 90.00
Space group Cm (No. 8)
Symmetry-distinct sites (fractional):
K 0.0000 0.0000 0.0000 [2 per cell]
K 0.0100 0.5000 0.3891 [2 per cell]
H 0.1710 0.1695 0.5682 [4 per cell]
H 0.1790 0.2028 0.6688 [4 per cell]
H 0.3662 0.4442 0.6213 [4 per cell]
Br 0.0017 0.5000 0.9407 [2 per cell]

Top 12 peaks for 2θ from 10° to 80°, in order of rising 2θ:
2theta	I/Imax	h k l
12.2	100	0 0 1
18.2	81	1 1 0
24.5	64	0 0 2
25.3	77	2 0 0
26.5	71	0 2 0
29.3	31	0 2 1
30.0	40	1 1 -2
31.4	36	1 1 2
34.3	28	2 0 -2
36.4	47	0 2 2
37.0	71	2 2 0
43.9	31	2 2 -2



(2)
This entry pairs a crystal structure of KHBr2 with its computed X-ray diffraction stick pattern. Radiation: Cu Ka. Structure: a DFT-relaxed cell (PBE, Alexandria).

Cell and atoms:
a b c (Å): 6.5517 6.0857 15.9077
angles (deg): 90.00 102.42 90.00
Space group P2/c (No. 13)
Symmetry-distinct sites (fractional):
K 0.1750 0.2347 0.1249 [4 per cell]
H 0.1944 0.0712 0.8728 [4 per cell]
Br 0.0463 0.2633 0.9116 [4 per cell]
Br 0.3134 0.1516 0.3382 [4 per cell]

Top 12 peaks for 2θ from 10° to 80°, in order of rising 2θ:
2theta	I/Imax	h k l
13.8	49	1 0 0
14.6	22	0 1 0
15.6	31	0 1 1
19.8	51	1 0 2
20.1	44	1 1 -1
22.9	69	0 0 4
24.5	57	1 1 -3
27.8	21	2 0 -2
29.4	53	0 2 0
31.0	100	2 1 -1
32.4	40	0 1 5
39.1	44	2 1 3